Record 1
Na3Sb2: calculated XRD peak list (copper Kα), based on a PBE-relaxed structure.
Peak positions follow from Bragg's law for the DFT cell and can differ from measured ones.

Crystal structure
```
data_Na3Sb2
_chemical_formula_sum 'Na18 Sb12'
_cell_length_a 9.1531
_cell_length_b 9.1531
_cell_length_c 12.3552
_cell_angle_alpha 90.00
_cell_angle_beta 90.00
_cell_angle_gamma 120.00
_space_group_name_H-M_alt 'R -3 c'
_space_group_IT_number 167
_space_group_name_Hall '-R 3 2"c'
loop_
_atom_site_label
_atom_site_fract_x
_atom_site_fract_y
_atom_site_fract_z
Na1 0.0000 0.3158 0.2500
Sb1 0.0000 0.0000 0.1233
```

The 10 most intense peaks (10 to 80 degrees two-theta), low angle first:
2θ (°)  intensity  index
19.40  100  1 1 0
31.07  41  1 0 4
33.93  57  3 0 0
36.89  29  0 2 4
39.38  16  2 2 0
42.01  38  2 1 4
50.99  19  1 3 4
52.93  14  4 1 0
58.94  15  3 2 4
60.71  10  3 3 0

***

Record 2
Pr2SiCN2O4: calculated XRD peak list (copper Kα), based on a PBE-relaxed structure.
Peak positions follow from Bragg's law for the DFT cell and can differ from measured ones.

Crystal structure
```
data_Pr2SiCN2O4
_chemical_formula_sum 'Pr4 Si2 C2 N4 O8'
_cell_length_a 6.5255
_cell_length_b 6.7966
_cell_length_c 6.8339
_cell_angle_alpha 87.30
_cell_angle_beta 73.21
_cell_angle_gamma 74.05
_space_group_name_H-M_alt 'P -1'
_space_group_IT_number 2
_space_group_name_Hall '-P 1'
loop_
_atom_site_label
_atom_site_fract_x
_atom_site_fract_y
_atom_site_fract_z
Pr1 0.0467 0.1741 0.2193
Pr2 0.4360 0.2665 0.6713
Si1 0.4557 0.8022 0.8122
C1 0.0623 0.6753 0.3089
N1 0.0251 0.4403 0.7498
N2 0.1413 0.7976 0.3719
O1 0.2207 0.9865 0.8859
O2 0.3653 0.1084 0.3715
O3 0.3871 0.6342 0.6945
O4 0.4121 0.2688 0.0186
```

The 10 most intense peaks (10 to 80 degrees two-theta), low angle first:
2θ (°)  intensity  index
19.37  57  1 1 1
23.91  23  1 -1 1
24.14  48  1 1 -1
27.29  100  0 2 0
28.91  49  2 0 1
29.73  40  2 0 0
30.15  42  0 2 -1
31.02  36  0 1 2
34.62  34  2 2 0
45.45  22  2 -2 1

***

Record 3
TcSbTe2: calculated XRD peak list (copper Kα), based on a PBE-relaxed structure.
Peak positions follow from Bragg's law for the DFT cell and can differ from measured ones.

Crystal structure
```
data_TcSbTe2
_chemical_formula_sum 'Tc2 Sb2 Te4'
_cell_length_a 9.7128
_cell_length_b 3.2930
_cell_length_c 7.4143
_cell_angle_alpha 90.00
_cell_angle_beta 112.50
_cell_angle_gamma 90.00
_space_group_name_H-M_alt 'C 1 m 1'
_space_group_IT_number 8
_space_group_name_Hall 'C -2y'
loop_
_atom_site_label
_atom_site_fract_x
_atom_site_fract_y
_atom_site_fract_z
Tc1 0.0000 0.0000 0.0000
Sb1 0.2152 0.5000 0.9980
Te1 0.0346 0.5000 0.3131
Te2 0.3495 0.0000 0.6847
```

The 10 most intense peaks (10 to 80 degrees two-theta), low angle first:
2θ (°)  intensity  index
12.92  72  0 0 1
19.05  35  2 0 -1
26.00  68  2 0 -2
27.62  64  2 0 1
33.33  100  1 1 1
36.50  97  1 1 -2
37.09  51  4 0 -1
39.05  60  3 1 -1
39.47  60  0 0 3
41.85  44  3 1 -2

***

Record 4
CeYUO6: calculated XRD peak list (copper Kα), based on a PBE-relaxed structure.
Peak positions follow from Bragg's law for the DFT cell and can differ from measured ones.

Crystal structure
```
data_CeYUO6
_chemical_formula_sum 'Ce2 Y2 U2 O12'
_cell_length_a 5.8155
_cell_length_b 5.8155
_cell_length_c 9.5737
_cell_angle_alpha 90.00
_cell_angle_beta 90.00
_cell_angle_gamma 120.00
_space_group_name_H-M_alt 'P -3 1 c'
_space_group_IT_number 163
_space_group_name_Hall '-P 3 2c'
loop_
_atom_site_label
_atom_site_fract_x
_atom_site_fract_y
_atom_site_fract_z
Ce1 0.0000 0.0000 0.0000
Y1 0.3333 0.6667 0.2500
U1 0.3333 0.6667 0.7500
O1 0.0211 0.3550 0.6344
```

The 10 most intense peaks (10 to 80 degrees two-theta), low angle first:
2θ (°)  intensity  index
18.54  15  0 0 2
19.92  29  1 0 1
25.68  100  1 0 2
30.75  58  1 1 0
36.14  17  1 1 2
40.48  30  2 0 2
49.31  48  1 1 4
51.68  30  2 1 2
54.67  20  3 0 0
76.69  13  4 -2 4

***

Record 5
Cu4AsO6: calculated XRD peak list (copper Kα), based on a PBE-relaxed structure.
Peak positions follow from Bragg's law for the DFT cell and can differ from measured ones.

Crystal structure
```
data_Cu4AsO6
_chemical_formula_sum 'Cu16 As4 O24'
_cell_length_a 9.3619
_cell_length_b 5.7719
_cell_length_c 10.3665
_cell_angle_alpha 90.00
_cell_angle_beta 105.35
_cell_angle_gamma 90.00
_space_group_name_H-M_alt 'C 1 c 1'
_space_group_IT_number 9
_space_group_name_Hall 'C -2yc'
loop_
_atom_site_label
_atom_site_fract_x
_atom_site_fract_y
_atom_site_fract_z
Cu1 0.0000 0.0397 0.0000
Cu2 0.2095 0.2826 0.3754
Cu3 0.3930 0.1124 0.0105
Cu4 0.4103 0.2436 0.7225
As1 0.1139 0.2572 0.7778
O1 0.0127 0.2416 0.4093
O2 0.1199 0.0103 0.2047
O3 0.1660 0.2165 0.9501
O4 0.2429 0.4541 0.7463
O5 0.3701 0.2242 0.5296
O6 0.4397 0.1212 0.2194
```

The 10 most intense peaks (10 to 80 degrees two-theta), low angle first:
2θ (°)  intensity  index
22.78  75  2 0 -2
29.98  35  2 0 2
32.29  37  0 2 1
32.64  47  3 1 -1
33.59  38  3 1 0
34.74  64  1 1 3
35.93  100  0 0 4
36.18  38  2 0 -4
36.84  64  3 1 1
38.81  69  2 2 -2

***

Record 6
PmNdSmMg: calculated XRD peak list (copper Kα), based on a PBE-relaxed structure.
Peak positions follow from Bragg's law for the DFT cell and can differ from measured ones.

Crystal structure
```
data_PmNdSmMg
_chemical_formula_sum 'Pm1 Nd1 Sm1 Mg1'
_cell_length_a 3.6977
_cell_length_b 3.6977
_cell_length_c 9.3124
_cell_angle_alpha 90.00
_cell_angle_beta 90.00
_cell_angle_gamma 90.00
_space_group_name_H-M_alt 'P 4 m m'
_space_group_IT_number 99
_space_group_name_Hall 'P 4 -2'
loop_
_atom_site_label
_atom_site_fract_x
_atom_site_fract_y
_atom_site_fract_z
Pm1 0.0000 0.0000 0.0000
Nd1 0.5000 0.5000 0.2722
Sm1 0.5000 0.5000 0.7325
Mg1 0.0000 0.0000 0.5055
```

The 10 most intense peaks (10 to 80 degrees two-theta), low angle first:
2θ (°)  intensity  index
25.93  18  1 0 1
30.88  100  1 0 2
34.30  39  1 1 0
38.68  12  0 0 4
45.35  9  1 1 3
49.29  14  2 0 0
52.64  20  1 1 4
59.30  31  2 1 2
64.34  11  2 0 4
65.19  8  1 0 6

***

Record 7
CoNiTe4: calculated XRD peak list (copper Kα), based on a PBE-relaxed structure.
Peak positions follow from Bragg's law for the DFT cell and can differ from measured ones.

Crystal structure
```
data_CoNiTe4
_chemical_formula_sum 'Co1 Ni1 Te4'
_cell_length_a 5.4268
_cell_length_b 3.8475
_cell_length_c 6.6863
_cell_angle_alpha 90.00
_cell_angle_beta 90.83
_cell_angle_gamma 90.00
_space_group_name_H-M_alt 'P 1 2/m 1'
_space_group_IT_number 10
_space_group_name_Hall '-P 2y'
loop_
_atom_site_label
_atom_site_fract_x
_atom_site_fract_y
_atom_site_fract_z
Co1 0.0000 0.0000 0.0000
Ni1 0.0000 0.5000 0.5000
Te1 0.2348 0.0000 0.3312
Te2 0.2421 0.5000 0.8437
```

The 10 most intense peaks (10 to 80 degrees two-theta), low angle first:
2θ (°)  intensity  index
16.34  24  1 0 0
31.22  19  1 0 -2
31.39  100  1 1 -1
31.62  86  1 0 2
33.02  20  2 0 0
42.82  30  2 1 -1
47.13  43  0 1 3
47.25  22  0 2 0
57.98  21  1 2 2
58.20  21  3 1 1

***

Record 8
Tb5Cu2: calculated XRD peak list (copper Kα), based on a PBE-relaxed structure.
Peak positions follow from Bragg's law for the DFT cell and can differ from measured ones.

Crystal structure
```
data_Tb5Cu2
_chemical_formula_sum 'Tb20 Cu8'
_cell_length_a 16.4978
_cell_length_b 6.6136
_cell_length_c 6.8582
_cell_angle_alpha 90.00
_cell_angle_beta 95.50
_cell_angle_gamma 90.00
_space_group_name_H-M_alt 'C 1 2/c 1'
_space_group_IT_number 15
_space_group_name_Hall '-C 2yc'
loop_
_atom_site_label
_atom_site_fract_x
_atom_site_fract_y
_atom_site_fract_z
Tb1 0.0000 0.0558 0.2500
Tb2 0.0947 0.3882 0.9426
Tb3 0.2195 0.0631 0.2955
Cu1 0.1098 0.2061 0.5591
```

The 10 most intense peaks (10 to 80 degrees two-theta), low angle first:
2θ (°)  intensity  index
29.49  36  1 1 -2
30.03  39  0 2 1
30.39  100  5 1 0
31.55  19  2 2 -1
32.46  93  4 0 -2
34.84  21  4 2 0
35.79  30  4 0 2
36.54  22  4 2 -1
55.39  25  1 1 -4
57.34  22  0 4 1

***

Record 9
NaSb3S6: calculated XRD peak list (copper Kα), based on a PBE-relaxed structure.
Peak positions follow from Bragg's law for the DFT cell and can differ from measured ones.

Crystal structure
```
data_NaSb3S6
_chemical_formula_sum 'Na2 Sb6 S12'
_cell_length_a 6.5707
_cell_length_b 7.6384
_cell_length_c 11.4426
_cell_angle_alpha 90.00
_cell_angle_beta 121.50
_cell_angle_gamma 90.00
_space_group_name_H-M_alt 'P 1 21/c 1'
_space_group_IT_number 14
_space_group_name_Hall '-P 2ybc'
loop_
_atom_site_label
_atom_site_fract_x
_atom_site_fract_y
_atom_site_fract_z
Na1 0.0000 0.0000 0.0000
Sb1 0.2031 0.0137 0.7143
Sb2 0.5000 0.0000 0.5000
S1 0.1385 0.1717 0.4716
S2 0.2475 0.7233 0.3982
S3 0.4295 0.1093 0.2717
```

The 10 most intense peaks (10 to 80 degrees two-theta), low angle first:
2θ (°)  intensity  index
14.73  100  0 1 1
23.29  44  0 2 0
24.97  92  1 1 1
26.16  76  1 1 -3
27.19  32  2 0 -2
36.10  57  2 2 -2
38.26  32  1 2 2
41.96  33  1 3 1
42.73  37  1 3 -3
48.13  50  3 1 -5

***

Record 10
Sr2Tl3Hg: calculated XRD peak list (copper Kα), based on a PBE-relaxed structure.
Peak positions follow from Bragg's law for the DFT cell and can differ from measured ones.

Crystal structure
```
data_Sr2Tl3Hg
_chemical_formula_sum 'Sr16 Tl24 Hg8'
_cell_length_a 7.9798
_cell_length_b 10.4776
_cell_length_c 18.2732
_cell_angle_alpha 90.00
_cell_angle_beta 90.00
_cell_angle_gamma 90.00
_space_group_name_H-M_alt 'F m m m'
_space_group_IT_number 69
_space_group_name_Hall '-F 2 2'
loop_
_atom_site_label
_atom_site_fract_x
_atom_site_fract_y
_atom_site_fract_z
Sr1 0.2474 0.0000 0.0000
Sr2 0.2500 0.2500 0.2500
Tl1 0.0000 0.0000 0.3308
Tl2 0.0000 0.2474 0.0843
Hg1 0.0000 0.0000 0.1670
```

The 10 most intense peaks (10 to 80 degrees two-theta), low angle first:
2θ (°)  intensity  index
22.28  39  2 0 0
29.78  100  2 2 2
34.05  67  0 2 6
34.23  33  0 4 0
41.07  33  2 2 6
41.23  16  2 4 0
45.47  15  4 0 0
45.96  20  2 4 4
58.00  30  4 2 6
79.42  16  4 6 6

***

Record 11
K2PaCrN4: calculated XRD peak list (copper Kα), based on a PBE-relaxed structure.
Peak positions follow from Bragg's law for the DFT cell and can differ from measured ones.

Crystal structure
```
data_K2PaCrN4
_chemical_formula_sum 'K4 Pa2 Cr2 N8'
_cell_length_a 6.6452
_cell_length_b 8.0812
_cell_length_c 5.1877
_cell_angle_alpha 90.00
_cell_angle_beta 90.00
_cell_angle_gamma 90.00
_space_group_name_H-M_alt 'P m n 21'
_space_group_IT_number 31
_space_group_name_Hall 'P 2ac -2'
loop_
_atom_site_label
_atom_site_fract_x
_atom_site_fract_y
_atom_site_fract_z
K1 0.2343 0.1278 0.0000
Pa1 0.0000 0.4065 0.5011
Cr1 0.0000 0.6651 0.9429
N1 0.0000 0.4476 0.0011
N2 0.0000 0.6549 0.6017
N3 0.2407 0.7625 0.0132
```

The 10 most intense peaks (10 to 80 degrees two-theta), low angle first:
2θ (°)  intensity  index
10.95  100  0 1 0
20.34  26  0 1 1
21.73  37  1 0 1
24.40  54  1 1 1
27.99  75  0 2 1
29.06  61  2 1 0
33.90  32  2 1 1
34.58  34  0 0 2
45.78  31  2 1 2
46.81  37  2 3 1

***

Record 12
YAlGaAu3: calculated XRD peak list (copper Kα), based on a PBE-relaxed structure.
Peak positions follow from Bragg's law for the DFT cell and can differ from measured ones.

Crystal structure
```
data_YAlGaAu3
_chemical_formula_sum 'Y4 Al4 Ga4 Au12'
_cell_length_a 5.8388
_cell_length_b 16.4510
_cell_length_c 5.8177
_cell_angle_alpha 90.00
_cell_angle_beta 90.00
_cell_angle_gamma 90.00
_space_group_name_H-M_alt 'C m c m'
_space_group_IT_number 63
_space_group_name_Hall '-C 2c 2'
loop_
_atom_site_label
_atom_site_fract_x
_atom_site_fract_y
_atom_site_fract_z
Y1 0.0000 0.1725 0.2500
Al1 0.0000 0.4064 0.7500
Ga1 0.0000 0.1030 0.7500
Au1 0.0000 0.2557 0.7500
Au2 0.2478 0.0000 0.0000
```

The 10 most intense peaks (10 to 80 degrees two-theta), low angle first:
2θ (°)  intensity  index
10.76  50  0 2 0
21.61  77  0 4 0
22.24  45  1 1 1
32.55  95  2 2 0
32.65  100  0 2 2
37.84  33  2 4 0
43.96  86  2 0 2
45.41  75  2 6 0
49.47  37  2 4 2
63.98  34  0 0 4